Computed PXRD pattern of Tb2Nd3ThTe6 for λ = 1.5418 Å (Cu Kα), from a crystal structure in Alexandria, relaxed with PBE.
No peak broadening, texture or thermal motion is included.

Principal peaks in the range 5° ≤ 2θ ≤ 70°, by angle:
two_theta	d_spacing	I_rel
28.35	3.149	100
40.20	2.243	39
40.84	2.210	37
50.46	1.809	20
65.94	1.417	18
66.85	1.400	17

Structural model:
```
data_Tb2Nd3ThTe6
_chemical_formula_sum 'Tb4 Nd6 Th2 Te12'
_cell_length_a 19.3233
_cell_length_b 4.4225
_cell_length_c 8.9684
_cell_angle_alpha 90.00
_cell_angle_beta 102.11
_cell_angle_gamma 90.00
_symmetry_space_group_name_H-M 'C 1 2/m 1'
_symmetry_Int_Tables_number 12
_symmetry_space_group_name_Hall '-C 2y'
loop_
_atom_site_label
_atom_site_fract_x
_atom_site_fract_y
_atom_site_fract_z
Tb1 0.1651 0.0000 0.3315
Nd1 0.0000 0.5000 0.5000
Nd2 0.1610 0.0000 0.8348
Th1 0.0000 0.5000 0.0000
Te1 0.0043 0.0000 0.2536
Te2 0.1695 0.5000 0.0933
Te3 0.1701 0.5000 0.5791
```

---

Computed PXRD pattern of Hf4CSe for λ = 1.5418 Å (Cu Kα), from a crystal structure in Alexandria, relaxed with PBE.
No peak broadening, texture or thermal motion is included.

Principal peaks in the range 5° ≤ 2θ ≤ 70°, by angle:
two_theta	d_spacing	I_rel
30.35	2.945	41
31.77	2.816	46
32.63	2.744	97
36.39	2.469	56
37.23	2.415	100
53.96	1.699	35

Structural model:
```
data_Hf4CSe
_chemical_formula_sum 'Hf16 C4 Se4'
_cell_length_a 7.0937
_cell_length_b 13.2023
_cell_length_c 5.9465
_cell_angle_alpha 90.00
_cell_angle_beta 123.87
_cell_angle_gamma 90.00
_symmetry_space_group_name_H-M 'C 1 2/c 1'
_symmetry_Int_Tables_number 15
_symmetry_space_group_name_Hall '-C 2yc'
loop_
_atom_site_label
_atom_site_fract_x
_atom_site_fract_y
_atom_site_fract_z
Hf1 0.2038 0.0623 0.2091
Hf2 0.2076 0.1931 0.7492
C1 0.0000 0.0599 0.7500
Se1 0.0000 0.4270 0.2500
```

---

Computed PXRD pattern of Nd8Dy3Y for λ = 1.5418 Å (Cu Kα), from a crystal structure in Alexandria, relaxed with PBE.
No peak broadening, texture or thermal motion is included.

Principal peaks in the range 5° ≤ 2θ ≤ 70°, by angle:
two_theta	d_spacing	I_rel
30.50	2.931	44
30.90	2.894	44
31.27	2.861	100
34.84	2.575	25
50.22	1.817	20
65.27	1.430	20

Structural model:
```
data_Nd8Dy3Y
_chemical_formula_sum 'Nd16 Dy6 Y2'
_cell_length_a 6.6550
_cell_length_b 11.2869
_cell_length_c 11.7250
_cell_angle_alpha 90.00
_cell_angle_beta 90.00
_cell_angle_gamma 90.00
_symmetry_space_group_name_H-M 'I 2 2 2'
_symmetry_Int_Tables_number 23
_symmetry_space_group_name_Hall 'I 2 2'
loop_
_atom_site_label
_atom_site_fract_x
_atom_site_fract_y
_atom_site_fract_z
Nd1 0.0003 0.1624 0.2500
Nd2 0.2479 0.2530 0.4840
Dy1 0.0000 0.0000 0.0000
Dy2 0.0000 0.5000 0.2514
Y1 0.0000 0.0000 0.5000
```

---

Computed PXRD pattern of RbMgUN3 for λ = 1.5418 Å (Cu Kα), from a crystal structure in Alexandria, relaxed with PBE.
No peak broadening, texture or thermal motion is included.

Principal peaks in the range 5° ≤ 2θ ≤ 70°, by angle:
two_theta	d_spacing	I_rel
9.50	9.309	97
12.29	7.201	100
26.46	3.368	63
26.98	3.304	43
31.34	2.854	41
36.20	2.482	50

Structural model:
```
data_RbMgUN3
_chemical_formula_sum 'Rb2 Mg2 U2 N6'
_cell_length_a 7.2092
_cell_length_b 3.6132
_cell_length_c 9.3196
_cell_angle_alpha 90.00
_cell_angle_beta 92.79
_cell_angle_gamma 90.00
_symmetry_space_group_name_H-M 'P 1 21/m 1'
_symmetry_Int_Tables_number 11
_symmetry_space_group_name_Hall '-P 2yb'
loop_
_atom_site_label
_atom_site_fract_x
_atom_site_fract_y
_atom_site_fract_z
Rb1 0.0842 0.2500 0.2860
Mg1 0.4131 0.2500 0.9103
U1 0.4297 0.7500 0.6501
N1 0.2680 0.2500 0.7065
N2 0.3973 0.7500 0.4193
N3 0.4554 0.2500 0.1362
```

---

Computed PXRD pattern of SmDy4In4 for λ = 1.5418 Å (Cu Kα), from a crystal structure in Alexandria, relaxed with PBE.
No peak broadening, texture or thermal motion is included.

Principal peaks in the range 5° ≤ 2θ ≤ 70°, by angle:
two_theta	d_spacing	I_rel
28.86	3.093	97
35.10	2.557	45
35.54	2.526	100
36.13	2.486	28
50.48	1.808	25
63.25	1.470	30

Structural model:
```
data_SmDy4In4
_chemical_formula_sum 'Sm2 Dy8 In8'
_cell_length_a 7.2319
_cell_length_b 7.2319
_cell_length_c 10.5904
_cell_angle_alpha 90.00
_cell_angle_beta 90.00
_cell_angle_gamma 90.00
_symmetry_space_group_name_H-M 'P 42/n m c'
_symmetry_Int_Tables_number 137
loop_
_symmetry_equiv_pos_as_xyz
'x,y,z'
'-x,-y,-z'
'-y+1/2,x,z+1/2'
'y+1/2,-x,-z+1/2'
'-x+1/2,-y+1/2,z'
'x+1/2,y+1/2,-z'
'y,-x+1/2,z+1/2'
'-y,x+1/2,-z+1/2'
'x+1/2,-y,-z'
'-x+1/2,y,z'
'-y,-x,-z+1/2'
'y,x,z+1/2'
'-x,y+1/2,-z'
'x,-y+1/2,z'
'y+1/2,x+1/2,-z+1/2'
'-y+1/2,-x+1/2,z+1/2'
loop_
_atom_site_label
_atom_site_fract_x
_atom_site_fract_y
_atom_site_fract_z
Sm1 0.2500 0.7500 0.2500
Dy1 0.0197 0.2500 0.1637
In1 0.0338 0.2500 0.4621
```

---

Computed PXRD pattern of Tc3MoH4 for λ = 1.5418 Å (Cu Kα), from a crystal structure in Alexandria, relaxed with PBE.
No peak broadening, texture or thermal motion is included.

Principal peaks in the range 5° ≤ 2θ ≤ 70°, by angle:
two_theta	d_spacing	I_rel
38.47	2.340	100
44.72	2.026	51
65.10	1.433	32

Structural model:
```
data_Tc3MoH4
_chemical_formula_sum 'Tc3 Mo1 H4'
_cell_length_a 4.0528
_cell_length_b 4.0528
_cell_length_c 4.0528
_cell_angle_alpha 90.00
_cell_angle_beta 90.00
_cell_angle_gamma 90.00
_symmetry_space_group_name_H-M 'P m -3 m'
_symmetry_Int_Tables_number 221
_symmetry_space_group_name_Hall '-P 4 2 3'
loop_
_atom_site_label
_atom_site_fract_x
_atom_site_fract_y
_atom_site_fract_z
Tc1 0.0000 0.0000 0.5000
Mo1 0.5000 0.5000 0.5000
H1 0.0000 0.0000 0.0000
H2 0.0000 0.5000 0.5000
```

---

Computed PXRD pattern of Rb7Cl3O2 for λ = 1.5418 Å (Cu Kα), from a crystal structure in Alexandria, relaxed with PBE.
No peak broadening, texture or thermal motion is included.

Principal peaks in the range 5° ≤ 2θ ≤ 70°, by angle:
two_theta	d_spacing	I_rel
26.27	3.393	78
30.03	2.976	100
32.33	2.769	36
32.53	2.752	81
46.52	1.952	50
56.50	1.629	32

Structural model:
```
data_Rb7Cl3O2
_chemical_formula_sum 'Rb14 Cl6 O4'
_cell_length_a 5.5046
_cell_length_b 5.5046
_cell_length_c 27.6944
_cell_angle_alpha 90.00
_cell_angle_beta 90.00
_cell_angle_gamma 90.00
_symmetry_space_group_name_H-M 'I 4/m m m'
_symmetry_Int_Tables_number 139
_symmetry_space_group_name_Hall '-I 4 2'
loop_
_atom_site_label
_atom_site_fract_x
_atom_site_fract_y
_atom_site_fract_z
Rb1 0.0000 0.0000 0.0000
Rb2 0.0000 0.0000 0.1966
Rb3 0.0000 0.5000 0.0980
Cl1 0.0000 0.0000 0.3184
Cl2 0.0000 0.0000 0.5000
O1 0.0000 0.0000 0.1010
```

---

Computed PXRD pattern of NaMnAs2Br for λ = 1.5418 Å (Cu Kα), from a crystal structure in Alexandria, relaxed with PBE.
No peak broadening, texture or thermal motion is included.

Principal peaks in the range 5° ≤ 2θ ≤ 70°, by angle:
two_theta	d_spacing	I_rel
13.30	6.659	50
19.53	4.545	50
26.77	3.330	88
30.89	2.895	100
39.66	2.273	60
48.50	1.877	66

Structural model:
```
data_NaMnAs2Br
_chemical_formula_sum 'Na1 Mn1 As2 Br1'
_cell_length_a 4.5453
_cell_length_b 4.5453
_cell_length_c 6.6594
_cell_angle_alpha 90.00
_cell_angle_beta 90.00
_cell_angle_gamma 90.00
_symmetry_space_group_name_H-M 'P 4/m m m'
_symmetry_Int_Tables_number 123
_symmetry_space_group_name_Hall '-P 4 2'
loop_
_atom_site_label
_atom_site_fract_x
_atom_site_fract_y
_atom_site_fract_z
Na1 0.0000 0.0000 0.0000
Mn1 0.5000 0.5000 0.5000
As1 0.0000 0.5000 0.5000
Br1 0.5000 0.5000 0.0000
```

---

Computed PXRD pattern of Y2PuAu4 for λ = 1.5418 Å (Cu Kα), from a crystal structure in Alexandria, relaxed with PBE.
No peak broadening, texture or thermal motion is included.

Principal peaks in the range 5° ≤ 2θ ≤ 70°, by angle:
two_theta	d_spacing	I_rel
24.37	3.652	14
34.74	2.582	59
36.83	2.440	100
49.95	1.826	21
63.65	1.462	41
67.67	1.384	17

Structural model:
```
data_Y2PuAu4
_chemical_formula_sum 'Y2 Pu1 Au4'
_cell_length_a 5.1644
_cell_length_b 5.1644
_cell_length_c 6.5606
_cell_angle_alpha 90.00
_cell_angle_beta 90.00
_cell_angle_gamma 90.00
_symmetry_space_group_name_H-M 'P 4/m m m'
_symmetry_Int_Tables_number 123
_symmetry_space_group_name_Hall '-P 4 2'
loop_
_atom_site_label
_atom_site_fract_x
_atom_site_fract_y
_atom_site_fract_z
Y1 0.0000 0.0000 0.0000
Y2 0.5000 0.5000 0.5000
Pu1 0.0000 0.0000 0.5000
Au1 0.0000 0.5000 0.2421
```

---

Computed PXRD pattern of Pm12YSc2 for λ = 1.5418 Å (Cu Kα), from a crystal structure in Alexandria, relaxed with PBE.
No peak broadening, texture or thermal motion is included.

Principal peaks in the range 5° ≤ 2θ ≤ 70°, by angle:
two_theta	d_spacing	I_rel
28.74	3.106	29
30.79	2.904	100
31.49	2.841	92
32.87	2.725	22
34.76	2.581	34
35.63	2.520	24

Structural model:
```
data_Pm12YSc2
_chemical_formula_sum 'Pm48 Y4 Sc8'
_cell_length_a 7.0409
_cell_length_b 10.3247
_cell_length_c 27.2903
_cell_angle_alpha 90.00
_cell_angle_beta 94.03
_cell_angle_gamma 90.00
_symmetry_space_group_name_H-M 'C 1 2/m 1'
_symmetry_Int_Tables_number 12
_symmetry_space_group_name_Hall '-C 2y'
loop_
_atom_site_label
_atom_site_fract_x
_atom_site_fract_y
_atom_site_fract_z
Pm1 0.0173 0.2490 0.0662
Pm2 0.0550 0.2463 0.2028
Pm3 0.0559 0.0000 0.3651
Pm4 0.1183 0.3097 0.3312
Pm5 0.1283 0.3102 0.5588
Pm6 0.2102 0.0000 0.5350
Pm7 0.2122 0.0000 0.8683
Pm8 0.2130 0.5000 0.8652
Y1 0.2491 0.5000 0.9991
Sc1 0.1761 0.0000 0.7451
Sc2 0.1819 0.5000 0.7387
```